For LiY2GaO5, the PBE geometry in Alexandria gives the theoretical powder diffraction line list in this record (Cu Kα (weighted mean of Kα1 and Kα2)).
Peak positions follow from Bragg's law for the DFT cell and can differ from measured ones.

Largest 10 diffraction maxima, low angle first, 2θ = 15–90°:
Position (°2θ)	I/Imax	(hkl)
15.6	70	0 0 1
19.4	77	1 1 0
31.5	38	0 0 2
31.9	100	2 0 1
34.8	91	2 1 1
39.4	25	2 2 0
44.7	79	2 1 2
47.3	56	3 1 1
51.3	22	2 2 2
61.4	24	4 1 1

Crystal structure
```
data_LiY2GaO5
_cell_length_a 6.461
_cell_length_b 6.461
_cell_length_c 5.686
_cell_angle_alpha 90.00
_cell_angle_beta 90.00
_cell_angle_gamma 90.00
_space_group_name_H-M_alt 'P 4/m b m'
_space_group_IT_number 127
_space_group_name_Hall '-P 4 2ab'
loop_
_atom_site_label
_atom_site_fract_x
_atom_site_fract_y
_atom_site_fract_z
Li1 0.000 0.000 0.000
Y1 0.178 0.322 0.500
Ga1 0.000 0.500 0.000
O1 0.000 0.000 0.500
O2 0.139 0.639 0.242
```

---

For Li5GaP2, the PBE geometry in Alexandria gives the theoretical powder diffraction line list in this record (Cu Kα (weighted mean of Kα1 and Kα2)).
Peak positions follow from Bragg's law for the DFT cell and can differ from measured ones.

Largest 10 diffraction maxima, low angle first, 2θ = 15–90°:
Position (°2θ)	I/Imax	(hkl)
23.7	29	1 0 0
24.3	100	1 0 1
33.3	13	0 0 6
41.3	15	1 0 6
41.7	37	1 1 0
46.2	29	1 0 7
48.9	14	2 0 1
54.3	17	1 1 6
66.1	11	2 1 1
79.3	11	2 1 7

Crystal structure
```
data_Li5GaP2
_cell_length_a 4.3341
_cell_length_b 4.3341
_cell_length_c 16.1521
_cell_angle_alpha 90.00
_cell_angle_beta 90.00
_cell_angle_gamma 120.00
_space_group_name_H-M_alt 'P 63/m m c'
_space_group_IT_number 194
_space_group_name_Hall '-P 6c 2c'
loop_
_atom_site_label
_atom_site_fract_x
_atom_site_fract_y
_atom_site_fract_z
Li1 0.0000 0.0000 0.1484
Li2 0.3333 0.6667 0.0560
Li3 0.3333 0.6667 0.2500
Ga1 0.3333 0.6667 0.7500
P1 0.3333 0.6667 0.6055
```

---

For Li2PaGa3, the PBE geometry in Alexandria gives the theoretical powder diffraction line list in this record (Cu Kα (weighted mean of Kα1 and Kα2)).
Peak positions follow from Bragg's law for the DFT cell and can differ from measured ones.

Largest 10 diffraction maxima, low angle first, 2θ = 15–90°:
Position (°2θ)	I/Imax	(hkl)
17.2	30	0 0 2
29.5	78	1 0 1
33.2	68	1 0 2
34.8	26	0 0 4
38.7	100	1 0 3
40.3	55	1 1 0
54.3	30	1 1 4
68.8	27	1 1 6
70.5	19	1 0 7
72.2	32	2 1 3

Crystal structure
```
data_Li2PaGa3
_cell_length_a 3.164
_cell_length_b 3.164
_cell_length_c 10.314
_cell_angle_alpha 90.00
_cell_angle_beta 90.00
_cell_angle_gamma 90.00
_space_group_name_H-M_alt 'P 4/m m m'
_space_group_IT_number 123
_space_group_name_Hall '-P 4 2'
loop_
_atom_site_label
_atom_site_fract_x
_atom_site_fract_y
_atom_site_fract_z
Li1 0.000 0.000 0.146
Pa1 0.000 0.000 0.500
Ga1 0.500 0.500 0.000
Ga2 0.500 0.500 0.291
```

---

For LiPaGa3, the PBE geometry in Alexandria gives the theoretical powder diffraction line list in this record (Cu Kα (weighted mean of Kα1 and Kα2)).
Peak positions follow from Bragg's law for the DFT cell and can differ from measured ones.

Largest 10 diffraction maxima, low angle first, 2θ = 15–90°:
Position (°2θ)	I/Imax	(hkl)
21.4	40	0 2 1
32.2	43	0 8 1
33.5	41	1 5 0
36.9	46	1 7 0
37.3	84	0 10 1
37.6	100	1 3 1
41.7	35	0 0 2
56.9	26	1 7 2
60.8	26	1 15 1
74.3	24	2 10 1

Crystal structure
```
data_LiPaGa3
_cell_length_a 3.011
_cell_length_b 28.984
_cell_length_c 4.331
_cell_angle_alpha 90.00
_cell_angle_beta 90.00
_cell_angle_gamma 90.00
_space_group_name_H-M_alt 'C m c m'
_space_group_IT_number 63
_space_group_name_Hall '-C 2c 2'
loop_
_atom_site_label
_atom_site_fract_x
_atom_site_fract_y
_atom_site_fract_z
Li1 0.000 0.221 0.250
Pa1 0.000 0.079 0.750
Ga1 0.000 0.316 0.250
Ga2 0.000 0.366 0.750
Ga3 0.000 0.476 0.750
```